RbCaNiF6: simulated XRD peak list (CuKα), based on a crystal structure in Alexandria, relaxed with PBE+U.
Intensities are scaled so that the largest is 100.

Cell and atoms:
```
data_RbCaNiF6
_chemical_formula_sum 'Rb4 Ca4 Ni4 F24'
_cell_length_a 7.484
_cell_length_b 7.571
_cell_length_c 9.835
_cell_angle_alpha 90.00
_cell_angle_beta 90.00
_cell_angle_gamma 90.00
_space_group_name_H-M_alt 'I m m a'
_space_group_IT_number 74
_space_group_name_Hall '-I 2b 2'
loop_
_atom_site_label
_atom_site_fract_x
_atom_site_fract_y
_atom_site_fract_z
Rb1 0.000 0.250 0.151
Ca1 0.250 0.250 0.750
Ni1 0.000 0.000 0.500
F1 0.000 0.250 0.573
F2 0.000 0.250 0.869
F3 0.174 0.031 0.370
```

Main lines, in order of rising 2θ (2θ = 5–70°):
2theta  d [Å]  intensity  (hkl)
24.6  3.612  37  1 1 2
27.9  3.195  100  1 2 1
28.1  3.175  37  2 1 1
29.8  3.002  83  1 0 3
45.7  1.985  34  3 0 3
50.5  1.806  57  2 2 4